1.
# Sm2Th2N3
Calculated powder diffraction line list, Cu Kα (λ = 1.5418 Å). Input: a structure optimized by DFT (PBE).
Peak positions follow from Bragg's law for the DFT cell and can differ from measured ones.

Largest 12 diffraction maxima, by angle, 15 to 90 degrees two-theta:
| hkl | 2θ (°) | Rel. int. |
| --- | --- | --- |
| 2 0 -1 | 18.21 | 38 |
| 1 1 -1 | 27.22 | 85 |
| 1 1 1 | 28.85 | 100 |
| 4 0 -1 | 29.07 | 71 |
| 0 0 2 | 30.08 | 73 |
| 3 1 0 | 31.05 | 88 |
| 4 0 1 | 34.85 | 65 |
| 3 1 -2 | 40.35 | 69 |
| 0 2 0 | 45.99 | 31 |
| 1 1 3 | 53.62 | 31 |
| 0 2 2 | 55.95 | 35 |
| 4 2 1 | 58.98 | 29 |

```
data_Sm2Th2N3
_cell_length_a 12.933
_cell_length_b 3.947
_cell_length_c 6.078
_cell_angle_alpha 90.00
_cell_angle_beta 102.18
_cell_angle_gamma 90.00
_space_group_name_H-M_alt 'C 1 2/m 1'
_space_group_IT_number 12
loop_
_space_group_symop_operation_xyz
'x,y,z'
'-x,-y,-z'
'-x,y,-z'
'x,-y,z'
'x+1/2,y+1/2,z'
'-x+1/2,-y+1/2,-z'
'-x+1/2,y+1/2,-z'
'x+1/2,-y+1/2,z'
loop_
_atom_site_label
_atom_site_type_symbol
_atom_site_fract_x
_atom_site_fract_y
_atom_site_fract_z
Sm1 Sm 0.058 0.000 0.273
Th1 Th 0.172 0.500 0.773
N1 N 0.000 0.500 0.500
N2 N 0.146 0.000 0.967
```


2.
# Sm2ThUN4
Calculated powder diffraction line list, Cu Kα (λ = 1.5418 Å). Input: a structure optimized by DFT (PBE).
Peak positions follow from Bragg's law for the DFT cell and can differ from measured ones.

Largest 12 diffraction maxima, by angle, 15 to 90 degrees two-theta:
| hkl | 2θ (°) | Rel. int. |
| --- | --- | --- |
| 0 0 2 | 30.58 | 51 |
| 1 1 -1 | 30.75 | 100 |
| 2 0 0 | 30.86 | 50 |
| 1 1 1 | 35.60 | 91 |
| 2 0 -2 | 35.71 | 45 |
| 1 1 -3 | 51.15 | 48 |
| 0 2 0 | 51.26 | 16 |
| 3 1 -1 | 51.49 | 31 |
| 2 0 -4 | 60.78 | 24 |
| 3 1 1 | 61.07 | 47 |
| 2 2 -2 | 64.04 | 16 |
| 1 3 1 | 86.23 | 22 |

```
data_Sm2ThUN4
_cell_length_a 6.139
_cell_length_b 3.565
_cell_length_c 6.194
_cell_angle_alpha 90.00
_cell_angle_beta 109.28
_cell_angle_gamma 90.00
_space_group_name_H-M_alt 'P 1 2/m 1'
_space_group_IT_number 10
loop_
_space_group_symop_operation_xyz
'x,y,z'
'-x,-y,-z'
'-x,y,-z'
'x,-y,z'
loop_
_atom_site_label
_atom_site_type_symbol
_atom_site_fract_x
_atom_site_fract_y
_atom_site_fract_z
Sm1 Sm 0.000 0.000 0.000
Sm2 Sm 0.000 0.500 0.500
Th1 Th 0.500 0.000 0.500
U1 U 0.500 0.500 0.000
N1 N 0.273 0.500 0.230
N2 N 0.280 0.000 0.780
```


3.
# SmThVN4
Calculated powder diffraction line list, Cu Kα (λ = 1.5418 Å). Input: a structure optimized by DFT (PBE).
Peak positions follow from Bragg's law for the DFT cell and can differ from measured ones.

Largest 12 diffraction maxima, by angle, 15 to 90 degrees two-theta:
| hkl | 2θ (°) | Rel. int. |
| --- | --- | --- |
| 1 1 1 | 24.37 | 44 |
| 0 4 0 | 28.26 | 21 |
| 1 3 1 | 31.64 | 100 |
| 2 0 0 | 33.03 | 32 |
| 0 0 2 | 33.38 | 31 |
| 0 6 0 | 42.95 | 17 |
| 2 4 0 | 44.01 | 18 |
| 0 4 2 | 44.29 | 18 |
| 2 0 2 | 47.67 | 29 |
| 1 7 1 | 56.38 | 31 |
| 3 3 1 | 58.12 | 19 |
| 1 3 3 | 58.58 | 18 |

```
data_SmThVN4
_cell_length_a 5.424
_cell_length_b 12.633
_cell_length_c 5.368
_cell_angle_alpha 90.00
_cell_angle_beta 90.00
_cell_angle_gamma 90.00
_space_group_name_H-M_alt 'C m c m'
_space_group_IT_number 63
_space_group_name_Hall '-C 2c 2'
loop_
_atom_site_label
_atom_site_type_symbol
_atom_site_fract_x
_atom_site_fract_y
_atom_site_fract_z
Sm1 Sm 0.000 0.109 0.250
Th1 Th 0.000 0.392 0.250
V1 V 0.000 0.233 0.750
N1 N 0.000 0.084 0.750
N2 N 0.000 0.427 0.750
N3 N 0.250 0.250 0.000
```